Entry 1:
Ca2GaRuO6: theoretical X-ray diffraction stick pattern (a wavelength of 1.5418 Å), based on DFT lattice parameters and positions (GGA-PBE).
Lines closer than 0.1° are merged.

Crystal structure
```
Ca2GaRuO6
1.0
5.4106 0.0000 0.0000
0.0000 5.5481 0.0000
-5.4083 0.0000 7.6978
Ca Ga Ru O
4 2 2 12
Cartesian
-0.0666 0.2937 1.9336 Ca
-2.7707 2.4803 5.7825 Ca
2.7730 3.0678 1.9153 Ca
0.0689 5.2544 5.7642 Ca
2.7053 0.0000 0.0000 Ga
0.0011 2.7741 3.8489 Ga
-2.7041 0.0000 3.8489 Ru
0.0000 2.7741 0.0000 Ru
-4.3241 1.1492 7.3305 O
-1.6200 1.6248 3.4815 O
-3.8080 3.9015 7.3458 O
-1.1039 4.4206 3.4969 O
-2.2180 0.1395 5.7659 O
0.4861 2.6345 1.9170 O
-0.4838 2.9136 5.7808 O
2.2203 5.4086 1.9319 O
1.1062 1.1275 4.2010 O
3.8103 1.6466 0.3520 O
1.6223 3.9233 4.2163 O
4.3264 4.3989 0.3674 O
```

Main lines, by angle (2θ from 5° to 70°):
two_theta	I_rel
23.0	36
23.1	16
32.3	25
32.8	100
33.1	23
46.9	31
47.2	17
57.9	17
58.9	36
68.8	16

***

Entry 2:
CaGaS2O8: theoretical X-ray diffraction stick pattern (a wavelength of 1.5418 Å), based on DFT lattice parameters and positions (GGA-PBE).
Lines closer than 0.1° are merged.

Crystal structure
```
CaGaS2O8
1.0
5.2250 0.0000 0.0000
-2.6125 4.5250 0.0000
0.0000 0.0000 7.0288
Ca Ga S O
1 1 2 8
Cartesian
0.0000 0.0000 0.0000 Ca
0.0000 0.0000 3.5144 Ga
0.0000 3.0166 5.5657 S
2.6125 1.5083 1.4631 S
-0.0088 1.5959 5.0801 O
-1.2260 3.7346 5.0801 O
0.0000 3.0166 0.0110 O
1.3777 0.8056 1.9486 O
1.2348 3.7193 5.0801 O
2.6125 1.5083 7.0177 O
3.8384 0.7903 1.9486 O
2.6213 2.9290 1.9486 O
```

Main lines, by angle (2θ from 5° to 70°):
two_theta	I_rel
19.6	34
23.4	100
32.3	51
34.3	51
43.1	23
47.8	36
55.3	12
60.2	13
63.8	11
67.5	9

***

Entry 3:
Ca2Ga2SiO7: theoretical X-ray diffraction stick pattern (a wavelength of 1.5418 Å), based on DFT lattice parameters and positions (GGA-PBE).
Lines closer than 0.1° are merged.

Crystal structure
```
Ca2Ga2SiO7
1.0
5.1773 0.0000 0.0000
0.0000 7.8838 0.0000
-0.0909 0.0000 7.9058
Ca Ga Si O
4 4 2 14
Cartesian
0.0145 0.0000 0.7849 Ca
0.0632 1.3950 4.5231 Ca
5.0232 5.3369 3.3827 Ca
5.0720 3.9419 7.1210 Ca
2.3925 7.6494 3.1094 Ga
2.5070 6.5558 5.9946 Ga
2.5795 2.6140 1.9113 Ga
2.6940 3.7075 4.7964 Ga
2.2683 5.3936 0.8393 Si
2.8182 1.4517 7.0665 Si
0.8963 3.7140 4.8383 O
1.2085 1.4499 7.0971 O
1.4568 1.2858 2.5305 O
1.4067 5.8799 7.3452 O
1.4482 7.2550 4.6657 O
1.5399 3.9275 1.1020 O
1.5744 6.3721 1.9844 O
3.5120 2.4302 5.9214 O
3.5466 7.8694 6.8038 O
3.6382 3.3131 3.2402 O
3.6798 1.9380 0.5607 O
3.6296 5.2277 5.3753 O
3.8779 5.3918 0.8087 O
4.1901 7.6559 3.0675 O
```

Main lines, by angle (2θ from 5° to 70°):
two_theta	I_rel
17.1	57
23.5	26
25.2	28
28.5	35
30.5	51
30.6	47
30.8	100
36.0	72
50.5	27
50.9	34

***

Entry 4:
Ca3TaGa3Si2O14: theoretical X-ray diffraction stick pattern (a wavelength of 1.5418 Å), based on DFT lattice parameters and positions (GGA-PBE).
Lines closer than 0.1° are merged.

Crystal structure
```
Ca3TaGa3Si2O14
1.0
8.2111 0.0000 0.0000
-4.1055 7.1110 0.0000
0.0000 0.0000 5.0236
Ca Ta Ga Si O
3 1 3 2 14
Cartesian
-1.7335 3.0025 0.0000 Ca
3.4670 0.0000 0.0000 Ca
2.3720 4.1085 0.0000 Ca
0.0000 0.0000 0.0000 Ta
-3.0509 5.2842 2.5118 Ga
1.0547 1.8268 2.5118 Ga
6.1017 0.0000 2.5118 Ga
0.0000 4.7407 2.7642 Si
4.1056 2.3703 2.2594 Si
-0.2170 1.6024 1.1801 O
-2.6093 6.4977 1.1801 O
-1.5071 4.8085 3.4692 O
1.4963 0.6133 3.8435 O
0.6948 3.4016 3.4692 O
0.0000 4.7407 1.1537 O
2.5985 2.3025 1.5545 O
0.8123 6.0119 3.4692 O
4.1056 2.3703 3.8699 O
4.9178 1.0991 1.5545 O
2.8263 6.1219 1.1801 O
4.8003 3.7094 1.5545 O
3.8886 5.5086 3.8435 O
6.9318 0.9891 3.8435 O
```

Main lines, by angle (2θ from 5° to 70°):
two_theta	I_rel
12.4	100
21.7	49
28.1	72
30.8	90
38.0	89
44.1	15
49.7	28
53.1	21
59.6	58
65.7	17

***

Entry 5:
CaTbGaO4: theoretical X-ray diffraction stick pattern (a wavelength of 1.5418 Å), based on DFT lattice parameters and positions (GGA-PBE).
Lines closer than 0.1° are merged.

Crystal structure
```
CaTbGaO4
1.0
-3.1764 3.3232 4.5947
3.1764 -3.3232 4.5947
3.1764 3.3232 -4.5947
Ca Tb Ga O
2 2 2 8
Cartesian
-1.5882 1.6616 2.2973 Ca
1.5882 1.6616 2.2973 Ca
0.0000 0.0000 0.0000 Tb
0.0000 3.3232 0.0000 Tb
3.1764 1.6616 -1.2143 Ga
0.0000 1.6616 5.8090 Ga
3.1764 3.2454 -2.3027 O
3.1764 -0.0778 2.3027 O
1.5953 1.6616 -0.0517 O
4.7574 1.6616 -0.0517 O
-1.5811 1.6616 4.6464 O
1.5811 1.6616 4.6464 O
0.0000 3.4010 2.2920 O
0.0000 0.0778 6.8973 O
```

Main lines, by angle (2θ from 5° to 70°):
two_theta	I_rel
17.0	62
19.3	23
28.1	29
31.9	100
32.4	52
32.7	21
33.3	20
39.2	36
52.2	25
56.7	47

***

Entry 6:
CaGa2TeO8: theoretical X-ray diffraction stick pattern (a wavelength of 1.5418 Å), based on DFT lattice parameters and positions (GGA-PBE).
Lines closer than 0.1° are merged.

Crystal structure
```
CaGa2TeO8
1.0
-3.4339 3.4339 3.2283
3.4339 -3.4339 3.2283
3.4339 3.4339 -3.2283
Ca Ga Te O
1 2 1 8
Cartesian
0.0000 0.0000 0.0000 Ca
3.4339 0.0000 1.6142 Ga
0.0000 0.0000 3.2283 Ga
0.0000 3.4339 1.6142 Te
2.2633 0.0000 0.1845 O
4.6046 0.0000 0.1845 O
3.4339 2.0088 -1.2065 O
3.4339 -1.1707 3.0438 O
0.0000 1.4251 2.0218 O
3.4339 1.1707 3.0438 O
2.0088 3.4339 1.2065 O
1.4251 0.0000 4.4349 O
```

Main lines, by angle (2θ from 5° to 70°):
two_theta	I_rel
18.3	19
18.9	20
25.9	100
33.3	68
37.0	17
50.7	62
53.4	16
60.3	12
63.7	14
64.4	20